# 1
The following is a calculated powder XRD pattern of Co4P6SN12. It was derived from a cell relaxed with GGA-PBE, using copper Kα.

Largest 12 diffraction maxima, in order of falling intensity, 2θ = 15–90°:
- 26.2°, I = 100
- 43.5°, I = 41
- 16.9°, I = 30
- 45.2°, I = 28
- 31.3°, I = 27
- 32.4°, I = 25
- 39.8°, I = 24
- 53.8°, I = 21
- 40.7°, I = 19
- 34.1°, I = 16
- 65.3°, I = 15
- 51.8°, I = 15

a b c (Å): 6.899 6.899 6.899
angles (deg): 114.84 114.84 99.20
Atoms (fractional coordinates):
1 Co 0.241 0.241 0.786
2 Co 0.456 0.456 0.214
3 Co 0.544 0.759 0.000
4 Co 0.759 0.544 0.000
5 P 0.000 0.500 0.500
6 P 0.009 0.345 0.000
7 P 0.345 0.009 0.000
8 P 0.500 0.000 0.500
9 P 0.655 0.655 0.664
10 P 0.991 0.991 0.336
11 S 0.000 0.000 0.000
12 N 0.020 0.604 0.000
13 N 0.042 0.276 0.506
14 N 0.229 0.724 0.765
15 N 0.276 0.042 0.506
16 N 0.396 0.396 0.416
17 N 0.464 0.958 0.235
18 N 0.536 0.771 0.494
19 N 0.604 0.020 0.000
20 N 0.724 0.229 0.765
21 N 0.771 0.536 0.494
22 N 0.958 0.464 0.235
23 N 0.980 0.980 0.584

***

# 2
The following is a calculated powder XRD pattern of CoPS2N. It was derived from a cell relaxed with GGA-PBE, using copper Kα.

Largest 12 diffraction maxima, in order of falling intensity, 2θ = 15–90°:
- 35.9°, I = 100
- 39.4°, I = 97
- 33.0°, I = 54
- 27.0°, I = 45
- 58.4°, I = 27
- 41.0°, I = 26
- 57.6°, I = 25
- 54.1°, I = 23
- 58.3°, I = 22
- 24.4°, I = 19
- 21.8°, I = 19
- 48.1°, I = 17

a b c (Å): 4.100 3.165 6.646
angles (deg): 90.00 96.23 90.00
Atoms (fractional coordinates):
1 Co 0.000 0.000 0.000
2 P 0.443 0.500 0.292
3 S 0.658 0.500 0.882
4 S 0.819 0.000 0.319
5 N 0.331 0.500 0.038

***

# 3
The following is a calculated powder XRD pattern of Sr2CoPN. It was derived from a cell relaxed with GGA-PBE, using copper Kα.

Largest 12 diffraction maxima, in order of falling intensity, 2θ = 15–90°:
- 31.3°, I = 100
- 29.9°, I = 59
- 27.3°, I = 50
- 30.0°, I = 37
- 38.0°, I = 36
- 56.4°, I = 34
- 46.6°, I = 29
- 38.1°, I = 28
- 49.1°, I = 27
- 63.2°, I = 21
- 32.0°, I = 19
- 40.2°, I = 18

a b c (Å): 6.387 3.897 8.978
angles (deg): 90.00 110.62 90.00
Atoms (fractional coordinates):
1 Sr 0.204 0.250 0.383
2 Sr 0.224 0.250 0.972
3 Sr 0.776 0.750 0.028
4 Sr 0.796 0.750 0.617
5 Co 0.496 0.750 0.253
6 Co 0.504 0.250 0.747
7 P 0.333 0.750 0.704
8 P 0.667 0.250 0.296
9 N 0.199 0.750 0.176
10 N 0.801 0.250 0.824

***

# 4
The following is a calculated powder XRD pattern of SrCoPN. It was derived from a cell relaxed with GGA-PBE, using copper Kα.

Largest 12 diffraction maxima, in order of falling intensity, 2θ = 15–90°:
- 28.9°, I = 100
- 39.1°, I = 53
- 39.3°, I = 51
- 39.8°, I = 40
- 26.0°, I = 36
- 32.7°, I = 18
- 66.2°, I = 16
- 71.8°, I = 16
- 53.4°, I = 16
- 68.6°, I = 14
- 48.1°, I = 14
- 50.6°, I = 14

a b c (Å): 3.432 4.530 4.236
angles (deg): 90.00 90.23 90.00
Atoms (fractional coordinates):
1 Sr 0.000 0.000 0.000
2 Co 0.995 0.500 0.418
3 P 0.496 0.500 0.709
4 N 0.498 0.500 0.109

***

# 5
The following is a calculated powder XRD pattern of Pa2CoN3. It was derived from a cell relaxed with GGA-PBE, using copper Kα.

Largest 12 diffraction maxima, in order of falling intensity, 2θ = 15–90°:
- 33.2°, I = 100
- 29.8°, I = 96
- 30.1°, I = 77
- 30.0°, I = 50
- 26.9°, I = 47
- 38.2°, I = 39
- 51.4°, I = 39
- 40.0°, I = 37
- 37.6°, I = 35
- 35.8°, I = 33
- 45.3°, I = 31
- 53.7°, I = 30

a b c (Å): 6.720 3.411 13.281
angles (deg): 90.00 90.00 90.00
Atoms (fractional coordinates):
1 Pa 0.078 0.250 0.226
2 Pa 0.249 0.250 0.966
3 Pa 0.251 0.750 0.466
4 Pa 0.422 0.750 0.726
5 Pa 0.578 0.250 0.274
6 Pa 0.749 0.250 0.534
7 Pa 0.751 0.750 0.034
8 Pa 0.922 0.750 0.774
9 Co 0.128 0.250 0.634
10 Co 0.372 0.750 0.134
11 Co 0.628 0.250 0.866
12 Co 0.872 0.750 0.366
13 N 0.025 0.250 0.401
14 N 0.109 0.750 0.070
15 N 0.185 0.250 0.779
16 N 0.315 0.750 0.279
17 N 0.391 0.250 0.570
18 N 0.475 0.750 0.901
19 N 0.525 0.250 0.099
20 N 0.609 0.750 0.430
21 N 0.685 0.250 0.721
22 N 0.815 0.750 0.221
23 N 0.891 0.250 0.930
24 N 0.975 0.750 0.599

***

# 6
The following is a calculated powder XRD pattern of PmPa2CoN4. It was derived from a cell relaxed with GGA-PBE, using copper Kα.

Largest 12 diffraction maxima, in order of falling intensity, 2θ = 15–90°:
- 28.1°, I = 100
- 31.2°, I = 64
- 38.4°, I = 50
- 31.0°, I = 46
- 53.5°, I = 37
- 35.8°, I = 25
- 36.0°, I = 22
- 48.5°, I = 22
- 61.0°, I = 20
- 53.7°, I = 18
- 34.9°, I = 17
- 50.2°, I = 16

a b c (Å): 6.017 6.017 11.401
angles (deg): 90.00 90.00 146.59
Atoms (fractional coordinates):
1 Pm 0.105 0.895 0.750
2 Pm 0.895 0.105 0.250
3 Pa 0.368 0.632 0.562
4 Pa 0.368 0.632 0.938
5 Pa 0.632 0.368 0.062
6 Pa 0.632 0.368 0.438
7 Co 0.157 0.843 0.250
8 Co 0.843 0.157 0.750
9 N 0.000 0.000 0.000
10 N 0.000 0.000 0.500
11 N 0.271 0.729 0.115
12 N 0.271 0.729 0.385
13 N 0.448 0.552 0.750
14 N 0.552 0.448 0.250
15 N 0.729 0.271 0.615
16 N 0.729 0.271 0.885

***

# 7
The following is a calculated powder XRD pattern of RbPa2CoN4. It was derived from a cell relaxed with GGA-PBE, using copper Kα.

Largest 12 diffraction maxima, in order of falling intensity, 2θ = 15–90°:
- 30.7°, I = 100
- 31.5°, I = 41
- 55.6°, I = 39
- 22.2°, I = 26
- 54.0°, I = 22
- 45.2°, I = 19
- 21.0°, I = 19
- 38.2°, I = 13
- 63.9°, I = 12
- 88.0°, I = 11
- 70.7°, I = 10
- 42.7°, I = 9

a b c (Å): 5.834 5.834 5.834
angles (deg): 121.83 121.83 86.85
Atoms (fractional coordinates):
1 Rb 0.000 0.000 0.000
2 Pa 0.250 0.750 0.500
3 Pa 0.750 0.250 0.500
4 Co 0.500 0.500 0.000
5 N 0.151 0.527 0.000
6 N 0.473 0.473 0.624
7 N 0.527 0.151 0.000
8 N 0.849 0.849 0.376

***

# 8
The following is a calculated powder XRD pattern of SrPa2Co2N6. It was derived from a cell relaxed with GGA-PBE, using copper Kα.

Largest 12 diffraction maxima, in order of falling intensity, 2θ = 15–90°:
- 29.7°, I = 100
- 33.5°, I = 75
- 45.4°, I = 40
- 57.6°, I = 33
- 50.2°, I = 23
- 36.2°, I = 21
- 72.1°, I = 19
- 21.2°, I = 19
- 61.7°, I = 18
- 59.9°, I = 14
- 78.2°, I = 13
- 41.5°, I = 12

a b c (Å): 7.269 7.269 7.269
angles (deg): 43.19 43.19 43.19
Atoms (fractional coordinates):
1 Sr 0.000 0.000 0.000
2 Pa 0.198 0.198 0.198
3 Pa 0.802 0.802 0.802
4 Co 0.412 0.412 0.412
5 Co 0.588 0.588 0.588
6 N 0.209 0.730 0.730
7 N 0.270 0.270 0.791
8 N 0.270 0.791 0.270
9 N 0.730 0.209 0.730
10 N 0.730 0.730 0.209
11 N 0.791 0.270 0.270